(1)
Simulated powder X-ray diffraction pattern
Compound: K2Hf2O5
Radiation: copper Kα
Structure: a GGA-PBE-relaxed structure
Intensities are scaled so that the largest is 100.

Atomic structure:
```
K2Hf2O5
1.0
5.7907 0.0000 0.0000
0.0000 10.6777 0.0000
0.0000 0.0000 8.6260
K Hf O
8 8 20
Cartesian
0.3892 1.7819 0.6453
0.3892 3.5570 3.6677
2.5061 7.1207 3.6677
2.5061 8.8959 0.6453
3.2846 1.7819 7.9807
3.2846 3.5570 4.9583
5.4015 7.1207 4.9583
5.4015 8.8959 7.9807
0.1913 0.8143 5.6992
0.1913 4.5246 7.2398
2.7041 6.1531 7.2398
2.7041 9.8635 5.6992
3.0867 0.8143 2.9268
3.0867 4.5246 1.3862
5.5994 6.1531 1.3862
5.5994 9.8635 2.9268
0.0472 8.0083 2.1565
0.7399 6.4840 8.1817
0.7399 9.5327 4.7573
1.4477 0.0000 2.1019
1.4477 0.0000 7.1392
1.4477 5.3389 2.2111
1.4477 5.3389 5.7998
2.1555 1.1451 4.7573
2.1555 4.1938 8.1817
2.8481 2.6694 2.1565
2.9426 8.0083 6.4695
3.6352 6.4840 0.4443
3.6352 9.5327 3.8687
4.3430 0.0000 1.4868
4.3430 0.0000 6.5241
4.3430 5.3389 2.8262
4.3430 5.3389 6.4149
5.0509 1.1451 3.8687
5.0509 4.1938 0.4443
5.7435 2.6694 6.4695
```

Most intense lines, 10° ≤ 2θ ≤ 90°, sorted by position:
| d [Å] | Position (°2θ) | Rel. int. |
| --- | --- | --- |
| 6.710 | 13.2 | 66 |
| 5.339 | 16.6 | 32 |
| 4.384 | 20.3 | 33 |
| 2.901 | 30.8 | 100 |
| 2.861 | 31.3 | 57 |
| 2.776 | 32.2 | 30 |
| 2.658 | 33.7 | 12 |
| 2.113 | 42.8 | 20 |
| 2.004 | 45.3 | 28 |
| 1.952 | 46.5 | 16 |
| 1.611 | 57.2 | 15 |
| 1.499 | 61.9 | 15 |


(2)
Simulated powder X-ray diffraction pattern
Compound: K2HfO4
Radiation: copper Kα
Structure: a GGA-PBE-relaxed structure
Intensities are scaled so that the largest is 100.

Atomic structure:
```
K2HfO4
1.0
0.0000 5.0689 5.0689
5.0689 0.0000 5.0689
5.0689 5.0689 0.0000
K Hf O
4 2 8
Cartesian
0.0000 0.0000 0.0000
2.5344 2.5344 0.0000
2.5344 0.0000 2.5344
0.0000 2.5344 2.5344
3.8017 3.8017 3.8017
6.3361 6.3361 6.3361
2.6725 2.6725 2.6725
4.9309 4.9309 2.6725
4.9309 2.6725 4.9309
7.4653 5.2069 5.2069
2.6725 4.9309 4.9309
5.2069 7.4653 5.2069
5.2069 5.2069 7.4653
7.4653 7.4653 7.4653
```

Most intense lines, 10° ≤ 2θ ≤ 90°, sorted by position:
| d [Å] | Position (°2θ) | Rel. int. |
| --- | --- | --- |
| 5.853 | 15.1 | 45 |
| 3.584 | 24.8 | 83 |
| 3.057 | 29.2 | 100 |
| 2.069 | 43.7 | 36 |
| 1.951 | 46.5 | 32 |
| 1.792 | 51.0 | 35 |
| 1.714 | 53.5 | 12 |
| 1.603 | 57.5 | 16 |
| 1.546 | 59.8 | 12 |
| 1.355 | 69.4 | 20 |
| 1.320 | 71.5 | 23 |
| 1.171 | 82.4 | 11 |


(3)
Simulated powder X-ray diffraction pattern
Compound: K4Hf5O12
Radiation: copper Kα
Structure: a GGA-PBE-relaxed structure
Intensities are scaled so that the largest is 100.

Atomic structure:
```
K4Hf5O12
1.0
5.7727 0.0000 0.0000
-2.8864 4.9993 0.0000
0.0000 0.0000 10.3466
K Hf O
4 5 12
Cartesian
0.0000 0.0000 1.8324
0.0000 0.0000 8.5142
0.0000 3.3329 6.3453
2.8864 1.6664 4.0013
0.0000 0.0000 5.1733
0.0000 3.3329 2.9282
0.0000 3.3329 10.1016
2.8864 1.6664 0.2450
2.8864 1.6664 7.4184
-1.3603 2.5475 1.2738
0.0000 1.6482 3.9174
-1.4589 4.1752 3.9174
1.4274 0.8241 6.4292
1.3603 2.5475 1.2738
0.0000 4.9036 1.2738
2.8864 0.0957 9.0728
1.5260 2.4518 9.0728
1.4589 4.1752 3.9174
4.3453 0.8241 6.4292
2.8864 3.3511 6.4292
4.2467 2.4518 9.0728
```

Most intense lines, 10° ≤ 2θ ≤ 90°, sorted by position:
| d [Å] | Position (°2θ) | Rel. int. |
| --- | --- | --- |
| 4.501 | 19.7 | 85 |
| 2.886 | 31.0 | 100 |
| 2.839 | 31.5 | 85 |
| 2.024 | 44.8 | 49 |
| 1.926 | 47.2 | 30 |
| 1.859 | 49.0 | 15 |
| 1.666 | 55.1 | 20 |
| 1.657 | 55.4 | 36 |
| 1.630 | 56.4 | 14 |
| 1.443 | 64.6 | 18 |
| 1.286 | 73.6 | 15 |
| 1.273 | 74.5 | 15 |


(4)
Simulated powder X-ray diffraction pattern
Compound: K2HfP2O8
Radiation: copper Kα
Structure: a GGA-PBE-relaxed structure
Intensities are scaled so that the largest is 100.

Atomic structure:
```
K2HfP2O8
1.0
5.0934 0.0000 0.0000
-2.5467 4.4110 0.0000
0.0000 0.0000 8.9274
K Hf P O
2 1 2 8
Cartesian
0.0000 2.9407 1.3406
2.5467 1.4703 7.5868
0.0000 0.0000 4.4637
0.0000 2.9407 6.2279
2.5467 1.4703 2.6995
-1.4386 3.1747 5.6880
0.5166 1.5778 5.6880
0.0000 2.9407 7.7455
1.6247 0.3415 3.2394
0.9220 4.0695 5.6880
2.5467 1.4703 1.1819
2.0301 2.8332 3.2394
3.9853 1.2363 3.2394
```

Most intense lines, 10° ≤ 2θ ≤ 90°, sorted by position:
| d [Å] | Position (°2θ) | Rel. int. |
| --- | --- | --- |
| 4.411 | 20.1 | 10 |
| 3.955 | 22.5 | 100 |
| 3.138 | 28.4 | 72 |
| 2.547 | 35.2 | 36 |
| 2.467 | 36.4 | 15 |
| 2.141 | 42.2 | 16 |
| 1.991 | 45.6 | 19 |
| 1.977 | 45.9 | 17 |
| 1.935 | 47.0 | 22 |
| 1.639 | 56.1 | 17 |
| 1.569 | 58.9 | 10 |
| 1.562 | 59.2 | 16 |


(5)
Simulated powder X-ray diffraction pattern
Compound: K2HfSi3O9
Radiation: copper Kα
Structure: a GGA-PBE-relaxed structure
Intensities are scaled so that the largest is 100.

Atomic structure:
```
K2HfSi3O9
1.0
6.8623 0.0000 0.0000
-3.4312 5.9430 0.0000
0.0000 0.0000 10.1598
K Hf Si O
4 2 6 18
Cartesian
0.0000 3.9620 0.5610
0.0000 3.9620 4.5189
3.4312 1.9810 5.6409
3.4312 1.9810 9.5988
0.0000 0.0000 0.0000
0.0000 0.0000 5.0799
-0.4933 2.2798 7.6198
-1.2101 5.2302 7.6198
1.7278 1.5671 2.5399
1.7034 4.3758 7.6198
4.6413 0.7127 2.5399
3.9244 3.6631 2.5399
-0.8081 1.4977 6.2488
-0.8081 1.4977 8.9909
-1.4959 3.6035 7.6198
-1.7301 5.8940 6.2488
-1.7301 5.8940 8.9909
0.8929 1.4487 1.1689
0.8929 1.4487 3.9110
1.0584 2.8457 7.6198
2.9936 0.5063 2.5399
0.4375 5.4367 7.6198
2.3728 3.0973 2.5399
2.5382 4.4943 6.2488
2.5382 4.4943 8.9909
5.1612 0.0490 1.1689
5.1612 0.0490 3.9110
4.9271 2.3394 2.5399
4.2393 4.4453 1.1689
4.2393 4.4453 3.9110
```

Most intense lines, 10° ≤ 2θ ≤ 90°, sorted by position:
| d [Å] | Position (°2θ) | Rel. int. |
| --- | --- | --- |
| 5.943 | 14.9 | 81 |
| 3.861 | 23.0 | 74 |
| 3.431 | 26.0 | 34 |
| 2.942 | 30.4 | 15 |
| 2.844 | 31.5 | 100 |
| 2.565 | 35.0 | 17 |
| 2.054 | 44.1 | 14 |
| 2.041 | 44.4 | 16 |
| 1.981 | 45.8 | 17 |
| 1.931 | 47.1 | 16 |
| 1.846 | 49.4 | 20 |
| 1.683 | 54.5 | 26 |


(6)
Simulated powder X-ray diffraction pattern
Compound: KHfTePdS2
Radiation: copper Kα
Structure: a GGA-PBE-relaxed structure
Intensities are scaled so that the largest is 100.

Atomic structure:
```
KHfTePdS2
1.0
8.7112 0.0000 0.0000
0.0000 3.8551 0.0000
-3.8834 0.0000 9.4874
K Hf Te Pd S
2 2 2 2 4
Cartesian
0.7741 0.9638 2.7848
4.0536 2.8913 6.7026
-0.6660 2.8913 7.7132
5.4937 0.9638 1.7742
3.2668 2.8913 1.2402
1.5610 0.9638 8.2472
-1.3996 0.9638 5.5555
6.2274 2.8913 3.9319
-2.2683 0.9638 7.9228
0.0097 2.8913 5.3379
4.8181 0.9638 4.1495
7.0960 2.8913 1.5646
```

Most intense lines, 10° ≤ 2θ ≤ 90°, sorted by position:
| d [Å] | Position (°2θ) | Rel. int. |
| --- | --- | --- |
| 7.764 | 11.4 | 100 |
| 3.162 | 28.2 | 10 |
| 2.886 | 31.0 | 21 |
| 2.786 | 32.1 | 20 |
| 2.609 | 34.4 | 8 |
| 2.554 | 35.1 | 18 |
| 2.502 | 35.9 | 10 |
| 2.445 | 36.8 | 8 |
| 2.312 | 39.0 | 8 |
| 2.097 | 43.1 | 12 |
| 1.928 | 47.1 | 8 |
| 1.728 | 53.0 | 10 |


(7)
Simulated powder X-ray diffraction pattern
Compound: K2HfSe3
Radiation: copper Kα
Structure: a GGA-PBE-relaxed structure
Intensities are scaled so that the largest is 100.

Atomic structure:
```
K2HfSe3
1.0
15.2817 0.0000 0.0000
0.0000 3.9905 0.0000
0.0000 0.0000 11.8337
K Hf Se
8 4 12
Cartesian
1.2802 0.9976 1.4088
3.6597 2.9929 10.3386
3.9812 0.9976 4.4217
6.3606 2.9929 7.3257
8.9210 0.9976 4.5081
11.3005 2.9929 7.4120
11.6220 0.9976 1.4951
14.0015 2.9929 10.4249
1.1520 0.9976 7.4211
6.4888 2.9929 1.5043
8.7929 0.9976 10.3295
14.1296 2.9929 4.4126
0.7219 0.9976 4.6007
1.1575 0.9976 9.9577
2.9770 2.9929 7.0481
4.6638 0.9976 1.1312
6.4834 2.9929 4.0409
6.9189 2.9929 10.5176
8.3627 0.9976 1.3162
8.7983 0.9976 7.7929
10.6179 2.9929 10.7025
12.3046 0.9976 4.7856
14.1242 2.9929 1.8760
14.5598 2.9929 7.2331
```

Most intense lines, 10° ≤ 2θ ≤ 90°, sorted by position:
| d [Å] | Position (°2θ) | Rel. int. |
| --- | --- | --- |
| 7.641 | 11.6 | 46 |
| 6.419 | 13.8 | 67 |
| 3.537 | 25.2 | 49 |
| 3.389 | 26.3 | 23 |
| 2.958 | 30.2 | 57 |
| 2.760 | 32.4 | 100 |
| 2.547 | 35.2 | 17 |
| 2.269 | 39.7 | 26 |
| 2.245 | 40.2 | 16 |
| 2.018 | 44.9 | 57 |
| 1.995 | 45.5 | 22 |
| 1.654 | 55.6 | 20 |


(8)
Simulated powder X-ray diffraction pattern
Compound: KHf3Se5
Radiation: copper Kα
Structure: a GGA-PBE-relaxed structure
Intensities are scaled so that the largest is 100.

Atomic structure:
```
KHf3Se5
1.0
6.1526 0.0000 0.0000
-3.0763 5.3283 0.0000
0.0000 0.0000 7.6238
K Hf Se
1 3 5
Cartesian
0.0000 0.0000 0.0000
-1.5382 2.6642 3.8119
3.0763 0.0000 3.8119
1.5382 2.6642 3.8119
0.0000 0.0000 3.8119
0.0000 3.5522 1.8130
0.0000 3.5522 5.8108
3.0763 1.7761 1.8130
3.0763 1.7761 5.8108
```

Most intense lines, 10° ≤ 2θ ≤ 90°, sorted by position:
| d [Å] | Position (°2θ) | Rel. int. |
| --- | --- | --- |
| 7.624 | 11.6 | 100 |
| 5.328 | 16.6 | 21 |
| 2.664 | 33.6 | 20 |
| 2.541 | 35.3 | 10 |
| 2.515 | 35.7 | 48 |
| 2.394 | 37.6 | 17 |
| 2.184 | 41.3 | 62 |
| 1.906 | 47.7 | 10 |
| 1.839 | 49.6 | 16 |
| 1.538 | 60.2 | 15 |
| 1.258 | 75.6 | 10 |
| 1.197 | 80.2 | 13 |


(9)
Simulated powder X-ray diffraction pattern
Compound: KSmHfSe4
Radiation: copper Kα
Structure: a GGA-PBE-relaxed structure
Intensities are scaled so that the largest is 100.

Atomic structure:
```
KSmHfSe4
1.0
7.2212 0.0000 0.0000
0.0000 7.1302 0.0000
-3.0147 0.0000 8.6373
K Sm Hf Se
2 2 2 8
Cartesian
0.4323 0.0000 3.8143
3.7742 3.5651 4.8231
-0.7068 7.1248 8.2041
4.9132 3.5598 0.4332
1.1824 3.5246 1.3968
3.0240 7.0897 7.2406
-2.7121 2.3850 7.8979
-0.6511 3.1537 3.0168
1.1690 1.7738 6.8525
1.2331 5.3189 6.7590
2.9734 1.7538 1.8783
3.0375 5.3389 1.7848
4.8575 6.7188 5.6205
6.9185 5.9501 0.7394
```

Most intense lines, 10° ≤ 2θ ≤ 90°, sorted by position:
| d [Å] | Position (°2θ) | Rel. int. |
| --- | --- | --- |
| 8.637 | 10.2 | 100 |
| 5.499 | 16.1 | 55 |
| 3.694 | 24.1 | 16 |
| 3.565 | 25.0 | 14 |
| 3.215 | 27.7 | 16 |
| 2.954 | 30.3 | 39 |
| 2.921 | 30.6 | 30 |
| 2.464 | 36.5 | 38 |
| 2.288 | 39.4 | 26 |
| 2.234 | 40.4 | 20 |
| 2.141 | 42.2 | 14 |
| 2.084 | 43.4 | 16 |


(10)
Simulated powder X-ray diffraction pattern
Compound: KTmHf
Radiation: copper Kα
Structure: a GGA-PBE-relaxed structure
Intensities are scaled so that the largest is 100.

Atomic structure:
```
KTmHf
1.0
0.0000 3.9120 3.9120
3.9120 0.0000 3.9120
3.9120 3.9120 0.0000
K Tm Hf
1 1 1
Cartesian
0.0000 0.0000 0.0000
5.8680 5.8680 5.8680
3.9120 3.9120 3.9120
```

Most intense lines, 10° ≤ 2θ ≤ 90°, sorted by position:
| d [Å] | Position (°2θ) | Rel. int. |
| --- | --- | --- |
| 4.517 | 19.7 | 71 |
| 2.766 | 32.4 | 100 |
| 2.359 | 38.1 | 41 |
| 1.956 | 46.4 | 18 |
| 1.795 | 50.9 | 18 |
| 1.597 | 57.7 | 38 |
| 1.506 | 61.6 | 14 |
| 1.383 | 67.8 | 12 |
| 1.322 | 71.3 | 13 |
| 1.237 | 77.1 | 16 |
| 1.193 | 80.5 | 5 |
| 1.096 | 89.4 | 8 |